1.
The following is a calculated powder XRD pattern of PrHo2Al6. It was derived from a crystal structure in Alexandria, relaxed with PBE, using Cu Kα (weighted mean of Kα1 and Kα2).
Neutral-atom scattering factors, no anomalous dispersion.

Structural model:
```
data_PrHo2Al6
_cell_length_a 7.9477
_cell_length_b 7.9477
_cell_length_c 3.5450
_cell_angle_alpha 90.00
_cell_angle_beta 90.00
_cell_angle_gamma 120.00
_symmetry_space_group_name_H-M 'P 6/m m m'
_symmetry_Int_Tables_number 191
_symmetry_space_group_name_Hall '-P 6 2'
loop_
_atom_site_label
_atom_site_type_symbol
_atom_site_fract_x
_atom_site_fract_y
_atom_site_fract_z
_atom_site_occupancy
Pr1 Pr 0.0000 0.0000 0.0000 1
Ho1 Ho 0.3333 0.6667 0.0000 1
Al1 Al 0.0000 0.3362 0.5000 1
```

The 12 most intense peaks (2θ from 15° to 90°), low angle first:
| two_theta | I/Imax | index |
| --- | --- | --- |
| 22.4 | 70 | 1 1 0 |
| 25.1 | 11 | 0 0 1 |
| 33.9 | 100 | 1 1 1 |
| 39.3 | 44 | 3 0 0 |
| 45.7 | 11 | 2 2 0 |
| 47.2 | 13 | 3 0 1 |
| 52.8 | 28 | 2 2 1 |
| 56.9 | 11 | 1 1 2 |
| 61.8 | 9 | 4 1 0 |
| 66.7 | 18 | 3 0 2 |
| 67.8 | 27 | 4 1 1 |
| 71.2 | 8 | 3 3 0 |

2.
The following is a calculated powder XRD pattern of PrHo7Al5. It was derived from a crystal structure in Alexandria, relaxed with PBE, using Cu Kα (weighted mean of Kα1 and Kα2).
Neutral-atom scattering factors, no anomalous dispersion.

Structural model:
```
data_PrHo7Al5
_cell_length_a 6.1075
_cell_length_b 10.2044
_cell_length_c 10.7615
_cell_angle_alpha 90.00
_cell_angle_beta 90.00
_cell_angle_gamma 90.00
_symmetry_space_group_name_H-M 'I m m 2'
_symmetry_Int_Tables_number 44
loop_
_symmetry_equiv_pos_as_xyz
'x,y,z'
'-x,-y,z'
'-x,y,z'
'x,-y,z'
'x+1/2,y+1/2,z+1/2'
'-x+1/2,-y+1/2,z+1/2'
'-x+1/2,y+1/2,z+1/2'
'x+1/2,-y+1/2,z+1/2'
loop_
_atom_site_label
_atom_site_type_symbol
_atom_site_fract_x
_atom_site_fract_y
_atom_site_fract_z
_atom_site_occupancy
Pr1 Pr 0.0000 0.0000 0.0000 1
Ho1 Ho 0.0000 0.0000 0.3487 1
Ho2 Ho 0.0000 0.0000 0.6706 1
Ho3 Ho 0.0000 0.3047 0.5028 1
Ho4 Ho 0.0000 0.3386 0.0174 1
Ho5 Ho 0.0000 0.5000 0.7408 1
Al1 Al 0.0000 0.5000 0.2713 1
Al2 Al 0.2505 0.2417 0.7635 1
```

The 12 most intense peaks (2θ from 15° to 90°), low angle first:
| two_theta | I/Imax | index |
| --- | --- | --- |
| 16.5 | 29 | 0 0 2 |
| 24.0 | 45 | 0 2 2 |
| 28.9 | 40 | 1 0 3 |
| 29.2 | 90 | 2 0 0 |
| 30.1 | 90 | 1 3 0 |
| 33.3 | 33 | 0 0 4 |
| 33.7 | 28 | 2 0 2 |
| 33.9 | 68 | 1 2 3 |
| 34.5 | 100 | 1 3 2 |
| 37.6 | 34 | 1 1 4 |
| 38.2 | 58 | 2 2 2 |
| 60.3 | 60 | 1 3 6 |

3.
The following is a calculated powder XRD pattern of Pr2HoAl3Pt4. It was derived from a crystal structure in Alexandria, relaxed with PBE, using Cu Kα (weighted mean of Kα1 and Kα2).
Neutral-atom scattering factors, no anomalous dispersion.

Structural model:
```
data_Pr2HoAl3Pt4
_cell_length_a 4.3839
_cell_length_b 4.3839
_cell_length_c 10.8775
_cell_angle_alpha 90.00
_cell_angle_beta 90.00
_cell_angle_gamma 90.00
_symmetry_space_group_name_H-M 'P -4 m 2'
_symmetry_Int_Tables_number 115
loop_
_symmetry_equiv_pos_as_xyz
'x,y,z'
'y,-x,-z'
'-x,-y,z'
'-y,x,-z'
'-x,y,z'
'-y,-x,-z'
'x,-y,z'
'y,x,-z'
loop_
_atom_site_label
_atom_site_type_symbol
_atom_site_fract_x
_atom_site_fract_y
_atom_site_fract_z
_atom_site_occupancy
Pr1 Pr 0.0000 0.5000 0.2305 1
Ho1 Ho 0.0000 0.0000 0.5000 1
Al1 Al 0.0000 0.5000 0.8828 1
Al2 Al 0.5000 0.5000 0.5000 1
Pt1 Pt 0.0000 0.0000 0.0000 1
Pt2 Pt 0.0000 0.5000 0.6528 1
Pt3 Pt 0.5000 0.5000 0.0000 1
```

The 12 most intense peaks (2θ from 15° to 90°), low angle first:
| two_theta | I/Imax | index |
| --- | --- | --- |
| 26.1 | 31 | 1 0 2 |
| 30.0 | 16 | 1 1 1 |
| 32.0 | 21 | 1 0 3 |
| 33.3 | 100 | 1 1 2 |
| 39.0 | 12 | 1 0 4 |
| 41.2 | 49 | 2 0 0 |
| 44.3 | 21 | 1 1 4 |
| 46.6 | 18 | 1 0 5 |
| 49.4 | 11 | 2 1 2 |
| 59.7 | 17 | 2 2 0 |
| 63.9 | 14 | 2 1 5 |
| 70.0 | 24 | 3 1 2 |